Mg6CuW: theoretical XRD peak list (Cu Ka), based on the PBE geometry in the Materials Project.
Neutral-atom scattering factors, no anomalous dispersion.

Structural model:
Lattice parameters (Å, degrees): 4.793 6.064 6.064 59.01 90.00 90.00
Positions (direct):
Mg: 0.000 0.000 0.000
Mg: 0.000 0.006 0.521
Mg: 0.000 0.498 0.498
Mg: 0.000 0.521 0.006
Mg: 0.500 0.346 0.850
Mg: 0.500 0.850 0.346
Cu: 0.500 0.343 0.343
W: 0.500 0.849 0.849

Top 10 peaks for 2θ = 15–90°, in order of rising 2θ:
2θ (°)  Rel. int.
16.80  696
17.06  402
18.51  513
25.10  460
25.27  299
34.51  433
37.53  371
38.96  575
39.44  1000
51.91  301



Nd2Si4Ru3Rh: theoretical XRD peak list (Cu Ka), based on the PBE geometry in the Materials Project.
Neutral-atom scattering factors, no anomalous dispersion.

Structural model:
Lattice parameters (Å, degrees): 4.186 4.186 9.949 90.00 90.00 90.00
Positions (direct):
Nd: 0.000 0.500 0.248
Nd: 0.500 0.000 0.752
Si: 0.000 0.500 0.620
Si: 0.000 0.500 0.885
Si: 0.500 0.000 0.115
Si: 0.500 0.000 0.380
Ru: 0.000 0.000 0.000
Ru: 0.500 0.500 0.000
Ru: 0.500 0.500 0.500
Rh: 0.000 0.000 0.500

Top 10 peaks for 2θ = 15–90°, in order of rising 2θ:
2θ (°)  Rel. int.
23.05  268
34.50  320
35.28  1000
36.11  171
43.22  392
56.44  153
57.55  176
62.78  127
64.40  191
74.12  223



NaEuCu2F8: theoretical XRD peak list (Cu Ka), based on the PBE geometry in the Materials Project.
Neutral-atom scattering factors, no anomalous dispersion.

Structural model:
Lattice parameters (Å, degrees): 6.475 6.475 6.475 129.44 129.44 74.30
Positions (direct):
Na: 0.000 0.000 0.000
Eu: 0.500 0.500 0.000
Cu: 0.250 0.750 0.500
Cu: 0.750 0.250 0.500
F: 0.055 0.547 0.851
F: 0.204 0.055 0.508
F: 0.304 0.453 0.508
F: 0.453 0.945 0.149
F: 0.547 0.696 0.492
F: 0.696 0.204 0.149
F: 0.796 0.304 0.851
F: 0.945 0.796 0.492

Top 10 peaks for 2θ = 15–90°, in order of rising 2θ:
2θ (°)  Rel. int.
18.20  495
28.64  1000
30.60  132
32.38  178
37.39  215
45.15  134
46.45  176
48.24  375
55.48  301
58.63  127



Na3ScCl6: theoretical XRD peak list (Cu Ka), based on the PBE geometry in the Materials Project.
Neutral-atom scattering factors, no anomalous dispersion.

Structural model:
Lattice parameters (Å, degrees): 7.307 7.307 7.307 60.00 60.00 60.00
Positions (direct):
Na: 0.000 0.000 0.000
Na: 0.250 0.250 0.250
Na: 0.750 0.750 0.750
Sc: 0.500 0.500 0.500
Cl: 0.260 0.260 0.740
Cl: 0.260 0.740 0.260
Cl: 0.260 0.740 0.740
Cl: 0.740 0.260 0.260
Cl: 0.740 0.260 0.740
Cl: 0.740 0.740 0.260

Top 10 peaks for 2θ = 15–90°, in order of rising 2θ:
2θ (°)  Rel. int.
17.16  541
24.36  98
29.95  708
34.72  1000
38.98  205
49.92  617
53.18  91
59.32  219
62.24  194
83.71  232



Lu2SnAu2: theoretical XRD peak list (Cu Ka), based on the PBE geometry in the Materials Project.
Neutral-atom scattering factors, no anomalous dispersion.

Structural model:
Lattice parameters (Å, degrees): 8.264 8.264 3.496 90.00 90.00 90.00
Positions (direct):
Lu: 0.158 0.342 0.000
Lu: 0.342 0.842 0.000
Lu: 0.658 0.158 0.000
Lu: 0.842 0.658 0.000
Sn: 0.000 0.000 0.000
Sn: 0.500 0.500 0.000
Au: 0.134 0.634 0.500
Au: 0.366 0.134 0.500
Au: 0.634 0.866 0.500
Au: 0.866 0.366 0.500

Top 10 peaks for 2θ = 15–90°, in order of rising 2θ:
2θ (°)  Rel. int.
15.16  148
29.78  93
34.31  475
35.34  1000
43.82  110
46.63  85
47.43  109
52.34  99
64.09  160
66.54  221



NbBi2Mo: theoretical XRD peak list (Cu Ka), based on the PBE geometry in the Materials Project.
Neutral-atom scattering factors, no anomalous dispersion.

Structural model:
Lattice parameters (Å, degrees): 4.994 4.994 4.994 60.00 60.00 60.00
Positions (direct):
Nb: 0.000 0.000 0.000
Bi: 0.250 0.250 0.250
Bi: 0.500 0.500 0.500
Mo: 0.750 0.750 0.750

Top 10 peaks for 2θ = 15–90°, in order of rising 2θ:
2θ (°)  Rel. int.
21.80  143
35.97  1000
42.45  86
51.78  178
56.83  39
64.66  367
69.11  30
76.27  116
80.45  31
87.32  171



BaCe2FeS5: theoretical XRD peak list (Cu Ka), based on the PBE geometry in the Materials Project.
Neutral-atom scattering factors, no anomalous dispersion.

Structural model:
Lattice parameters (Å, degrees): 8.687 8.687 8.687 126.58 126.58 78.94
Positions (direct):
Ba: 0.250 0.250 0.000
Ba: 0.750 0.750 0.000
Ce: 0.161 0.661 0.822
Ce: 0.339 0.161 0.500
Ce: 0.661 0.839 0.500
Ce: 0.839 0.339 0.178
Fe: 0.250 0.750 0.500
Fe: 0.750 0.250 0.500
S: 0.000 0.000 0.000
S: 0.015 0.216 0.500
S: 0.216 0.716 0.201
S: 0.284 0.485 0.500
S: 0.485 0.985 0.201
S: 0.500 0.500 0.000
S: 0.515 0.015 0.799
S: 0.716 0.515 0.500
S: 0.784 0.284 0.799
S: 0.985 0.784 0.500

Top 10 peaks for 2θ = 15–90°, in order of rising 2θ:
2θ (°)  Rel. int.
26.40  1000
26.59  294
32.43  214
32.54  896
36.38  396
42.47  488
48.56  237
52.44  279
59.73  201
67.94  181



LiSn2P3O12: theoretical XRD peak list (Cu Ka), based on the PBE geometry in the Materials Project.
Neutral-atom scattering factors, no anomalous dispersion.

Structural model:
Lattice parameters (Å, degrees): 8.511 8.513 9.088 117.91 90.15 119.42
Positions (direct):
Li: 0.247 0.062 0.131
Li: 0.753 0.938 0.869
Sn: 0.156 0.305 0.947
Sn: 0.355 0.718 0.568
Sn: 0.645 0.282 0.432
Sn: 0.844 0.695 0.053
P: 0.040 0.791 0.754
P: 0.251 0.790 0.248
P: 0.460 0.500 0.746
P: 0.540 0.500 0.254
P: 0.749 0.210 0.752
P: 0.960 0.209 0.246
O: 0.004 0.969 0.793
O: 0.042 0.773 0.918
O: 0.043 0.722 0.207
O: 0.113 0.418 0.410
O: 0.239 0.862 0.733
O: 0.282 0.627 0.103
O: 0.309 0.827 0.427
O: 0.332 0.344 0.799
O: 0.341 0.316 0.110
O: 0.379 0.006 0.259
O: 0.379 0.620 0.731
O: 0.484 0.372 0.571
O: 0.516 0.628 0.429
O: 0.621 0.380 0.269
O: 0.621 0.994 0.741
O: 0.659 0.684 0.890
O: 0.668 0.656 0.201
O: 0.691 0.173 0.573
O: 0.718 0.373 0.897
O: 0.761 0.138 0.267
O: 0.887 0.582 0.590
O: 0.957 0.278 0.793
O: 0.958 0.227 0.082
O: 0.996 0.031 0.207

Top 10 peaks for 2θ = 15–90°, in order of rising 2θ:
2θ (°)  Rel. int.
19.50  465
19.61  1000
20.69  316
20.87  633
23.87  306
28.74  298
31.39  427
31.49  347
35.86  272
36.35  278



SiAu3: theoretical XRD peak list (Cu Ka), based on the PBE geometry in the Materials Project.
Neutral-atom scattering factors, no anomalous dispersion.

Structural model:
Lattice parameters (Å, degrees): 5.836 5.836 4.739 90.00 90.00 120.00
Positions (direct):
Si: 0.333 0.667 0.250
Si: 0.667 0.333 0.750
Au: 0.169 0.338 0.750
Au: 0.169 0.831 0.750
Au: 0.338 0.169 0.250
Au: 0.662 0.831 0.750
Au: 0.831 0.169 0.250
Au: 0.831 0.662 0.250

Top 10 peaks for 2θ = 15–90°, in order of rising 2θ:
2θ (°)  Rel. int.
25.77  255
30.64  102
35.52  237
37.97  265
40.45  1000
52.97  153
63.79  176
70.27  201
76.70  211
78.31  150



SrSc2O4: theoretical XRD peak list (Cu Ka), based on the PBE geometry in the Materials Project.
Neutral-atom scattering factors, no anomalous dispersion.

Structural model:
Lattice parameters (Å, degrees): 5.509 5.509 10.686 90.00 90.00 146.12
Positions (direct):
Sr: 0.110 0.890 0.750
Sr: 0.890 0.110 0.250
Sc: 0.364 0.636 0.571
Sc: 0.364 0.636 0.929
Sc: 0.636 0.364 0.071
Sc: 0.636 0.364 0.429
O: 0.000 0.000 0.000
O: 0.000 0.000 0.500
O: 0.263 0.737 0.105
O: 0.263 0.737 0.395
O: 0.435 0.565 0.750
O: 0.565 0.435 0.250
O: 0.737 0.263 0.605
O: 0.737 0.263 0.895

Top 10 peaks for 2θ = 15–90°, in order of rising 2θ:
2θ (°)  Rel. int.
30.29  1000
33.66  238
34.02  155
38.93  515
41.69  299
44.98  132
52.14  175
54.86  134
58.12  135
66.29  140



PrCrSe3: theoretical XRD peak list (Cu Ka), based on the PBE geometry in the Materials Project.
Neutral-atom scattering factors, no anomalous dispersion.

Structural model:
Lattice parameters (Å, degrees): 8.174 3.984 13.797 90.00 90.00 90.00
Positions (direct):
Pr: 0.097 0.250 0.171
Pr: 0.403 0.750 0.671
Pr: 0.597 0.250 0.329
Pr: 0.903 0.750 0.829
Cr: 0.161 0.750 0.448
Cr: 0.339 0.250 0.948
Cr: 0.661 0.750 0.052
Cr: 0.839 0.250 0.552
Se: 0.014 0.750 0.608
Se: 0.157 0.750 0.003
Se: 0.190 0.250 0.788
Se: 0.310 0.750 0.288
Se: 0.343 0.250 0.503
Se: 0.486 0.250 0.108
Se: 0.514 0.750 0.892
Se: 0.657 0.750 0.497
Se: 0.690 0.250 0.712
Se: 0.810 0.750 0.212
Se: 0.843 0.250 0.997
Se: 0.986 0.250 0.392

Top 10 peaks for 2θ = 15–90°, in order of rising 2θ:
2θ (°)  Rel. int.
31.66  526
32.04  423
34.01  1000
34.30  345
39.73  233
42.27  167
44.86  176
45.53  298
58.22  147
62.93  166



Cu2O3: theoretical XRD peak list (Cu Ka), based on the PBE geometry in the Materials Project.
Neutral-atom scattering factors, no anomalous dispersion.

Structural model:
Lattice parameters (Å, degrees): 7.757 3.600 10.420 90.00 112.10 90.00
Positions (direct):
Cu: 0.015 0.000 0.373
Cu: 0.015 0.500 0.873
Cu: 0.362 0.249 0.759
Cu: 0.362 0.251 0.259
Cu: 0.638 0.749 0.741
Cu: 0.638 0.751 0.241
Cu: 0.985 0.000 0.627
Cu: 0.985 0.500 0.127
O: 0.134 0.204 0.545
O: 0.134 0.296 0.045
O: 0.145 0.196 0.797
O: 0.145 0.304 0.297
O: 0.429 0.747 0.792
O: 0.429 0.753 0.292
O: 0.571 0.247 0.708
O: 0.571 0.253 0.208
O: 0.855 0.696 0.703
O: 0.855 0.804 0.203
O: 0.866 0.704 0.955
O: 0.866 0.796 0.455

Top 10 peaks for 2θ = 15–90°, in order of rising 2θ:
2θ (°)  Rel. int.
18.38  1000
24.77  247
25.81  328
26.43  297
27.71  755
30.71  333
36.02  244
37.53  278
38.89  245
43.83  316